The following is a theoretical powder X-ray diffraction pattern of In2AgI3. It was derived from a cell relaxed with PBE, using Cu Kα (λ = 1.5418 Å).
Intensities are scaled so that the largest is 100.

Largest 10 diffraction maxima, by angle, 2θ = 5–70°:
two_theta  Rel. int.
25.6  100
27.3  41
29.0  13
31.5  12
36.1  13
36.9  23
37.8  50
46.5  17
47.1  13
59.9  10

Structural model:
a = 10.4043 Å, b = 10.4043 Å, c = 10.4043 Å
α = 152.93°, β = 39.10°, γ = 152.33°
Positions (direct):
In 0.1656 0.0000 0.1656
In 0.8344 0.0000 0.8344
Ag 0.6781 0.1781 0.5000
I 0.3450 0.9861 0.3589
I 0.6272 0.9861 0.6411
I 0.9959 0.9959 0.0000